[1]
For Na3BO3, a cell relaxed with GGA-PBE gives the computed X-ray powder pattern in this record (a wavelength of 1.5418 Å).
Intensities are scaled so that the largest is 100.

Top 6 peaks for 10° ≤ 2θ ≤ 90°, low angle first:
d [Å], 2θ (°), I/Imax
2.956, 30.2, 69.2
2.836, 31.5, 100.0
2.827, 31.7, 78.9
2.419, 37.2, 51.2
2.100, 43.1, 56.4
1.801, 50.7, 72.6

Structure:
a b c (Å): 3.603 10.340 10.813
angles (deg): 90.00 109.28 90.00
Positions (direct):
Na: 0.007 0.185 0.254
Na: 0.007 0.315 0.754
Na: 0.158 0.057 0.906
Na: 0.158 0.443 0.406
Na: 0.335 0.100 0.584
Na: 0.335 0.400 0.084
Na: 0.665 0.600 0.916
Na: 0.665 0.900 0.416
Na: 0.842 0.557 0.594
Na: 0.842 0.943 0.094
Na: 0.993 0.685 0.246
Na: 0.993 0.815 0.746
B: 0.323 0.734 0.574
B: 0.323 0.766 0.074
B: 0.677 0.234 0.926
B: 0.677 0.266 0.426
O: 0.211 0.656 0.463
O: 0.211 0.844 0.963
O: 0.319 0.632 0.070
O: 0.319 0.868 0.570
O: 0.445 0.670 0.697
O: 0.445 0.830 0.197
O: 0.555 0.170 0.803
O: 0.555 0.330 0.303
O: 0.681 0.132 0.430
O: 0.681 0.368 0.930
O: 0.789 0.156 0.037
O: 0.789 0.344 0.537

[2]
For Na2BO3, a cell relaxed with GGA-PBE gives the computed X-ray powder pattern in this record (a wavelength of 1.5418 Å).
Intensities are scaled so that the largest is 100.

Top 6 peaks for 10° ≤ 2θ ≤ 90°, low angle first:
d [Å], 2θ (°), I/Imax
2.565, 35.0, 33.7
2.553, 35.2, 100.0
2.372, 37.9, 50.8
2.221, 40.6, 16.4
1.981, 45.8, 79.6
1.481, 62.7, 24.0

Structure:
a b c (Å): 5.130 5.130 6.238
angles (deg): 90.00 90.00 59.98
Positions (direct):
Na: 0.167 0.167 0.000
Na: 0.167 0.167 0.500
Na: 0.833 0.833 0.000
Na: 0.833 0.833 0.500
B: 0.499 0.501 0.750
B: 0.501 0.499 0.250
O: 0.231 0.769 0.750
O: 0.233 0.499 0.250
O: 0.499 0.233 0.750
O: 0.501 0.767 0.250
O: 0.767 0.501 0.750
O: 0.769 0.231 0.250

[3]
For Na3B2O6, a cell relaxed with GGA-PBE gives the computed X-ray powder pattern in this record (a wavelength of 1.5418 Å).
Intensities are scaled so that the largest is 100.

Top 6 peaks for 10° ≤ 2θ ≤ 90°, low angle first:
d [Å], 2θ (°), I/Imax
2.530, 35.5, 57.5
2.188, 41.3, 48.3
2.107, 42.9, 46.3
2.059, 44.0, 31.2
1.887, 48.2, 100.0
1.582, 58.3, 54.6

Structure:
a b c (Å): 10.772 10.772 10.772
angles (deg): 163.11 163.11 23.97
Positions (direct):
Na: 0.000 0.000 0.000
Na: 0.200 0.200 0.000
Na: 0.800 0.800 0.000
B: 0.380 0.380 0.000
B: 0.620 0.620 0.000
O: 0.086 0.586 0.500
O: 0.316 0.316 0.000
O: 0.414 0.914 0.500
O: 0.586 0.086 0.500
O: 0.684 0.684 0.000
O: 0.914 0.414 0.500

[4]
For Na2BO3, a cell relaxed with GGA-PBE gives the computed X-ray powder pattern in this record (a wavelength of 1.5418 Å).
Intensities are scaled so that the largest is 100.

Top 6 peaks for 10° ≤ 2θ ≤ 90°, low angle first:
d [Å], 2θ (°), I/Imax
3.156, 28.3, 62.6
2.708, 33.1, 61.3
2.619, 34.2, 96.0
2.198, 41.1, 100.0
1.882, 48.4, 81.0
1.566, 59.0, 26.7

Structure:
a b c (Å): 5.416 5.416 6.313
angles (deg): 90.00 90.00 120.00
Positions (direct):
Na: 0.000 0.000 0.000
Na: 0.000 0.000 0.500
Na: 0.333 0.667 0.250
Na: 0.667 0.333 0.750
B: 0.333 0.667 0.750
B: 0.667 0.333 0.250
O: 0.188 0.376 0.750
O: 0.188 0.812 0.750
O: 0.376 0.188 0.250
O: 0.624 0.812 0.750
O: 0.812 0.188 0.250
O: 0.812 0.624 0.250

[5]
For Na3BP2O8, a cell relaxed with GGA-PBE gives the computed X-ray powder pattern in this record (a wavelength of 1.5418 Å).
Intensities are scaled so that the largest is 100.

Top 6 peaks for 10° ≤ 2θ ≤ 90°, low angle first:
d [Å], 2θ (°), I/Imax
5.173, 17.1, 60.5
3.718, 23.9, 66.5
3.182, 28.0, 47.6
2.873, 31.1, 100.0
2.759, 32.4, 70.7
2.598, 34.5, 60.4

Structure:
a b c (Å): 8.217 8.217 10.354
angles (deg): 91.76 91.76 78.40
Positions (direct):
Na: 0.042 0.958 0.750
Na: 0.142 0.365 0.269
Na: 0.300 0.528 0.621
Na: 0.345 0.655 0.250
Na: 0.365 0.142 0.769
Na: 0.472 0.700 0.879
Na: 0.528 0.300 0.121
Na: 0.635 0.858 0.231
Na: 0.655 0.345 0.750
Na: 0.700 0.472 0.379
Na: 0.858 0.635 0.731
Na: 0.958 0.042 0.250
B: 0.022 0.245 0.999
B: 0.245 0.022 0.499
B: 0.755 0.978 0.501
B: 0.978 0.755 0.001
P: 0.056 0.773 0.458
P: 0.210 0.469 0.939
P: 0.227 0.944 0.042
P: 0.469 0.210 0.439
P: 0.531 0.790 0.561
P: 0.773 0.056 0.958
P: 0.790 0.531 0.061
P: 0.944 0.227 0.542
O: 0.066 0.743 0.603
O: 0.069 0.629 0.911
O: 0.089 0.840 0.080
O: 0.115 0.622 0.374
O: 0.123 0.315 0.907
O: 0.129 0.137 0.587
O: 0.137 0.129 0.087
O: 0.160 0.911 0.420
O: 0.257 0.934 0.897
O: 0.273 0.468 0.079
O: 0.315 0.123 0.407
O: 0.341 0.460 0.837
O: 0.371 0.931 0.589
O: 0.378 0.885 0.126
O: 0.460 0.341 0.337
O: 0.468 0.273 0.579
O: 0.532 0.727 0.421
O: 0.540 0.659 0.663
O: 0.622 0.115 0.874
O: 0.629 0.069 0.411
O: 0.659 0.540 0.163
O: 0.685 0.877 0.593
O: 0.727 0.532 0.921
O: 0.743 0.066 0.103
O: 0.840 0.089 0.580
O: 0.863 0.871 0.913
O: 0.871 0.863 0.413
O: 0.877 0.685 0.093
O: 0.885 0.378 0.626
O: 0.911 0.160 0.920
O: 0.931 0.371 0.089
O: 0.934 0.257 0.397